(1)
Theoretical X-ray diffraction stick pattern of Bi2Se3O10 for Cu Kα, 1.54184 Å, from the PBE geometry in Alexandria.
No peak broadening, texture or thermal motion is included.

Structural model:
```
Bi2Se3O10
1.0
8.058 -3.932 0.000
8.058 3.932 0.000
-3.002 0.000 7.522
Bi Se O
4 6 20
direct
0.017 0.338 0.145
0.338 0.017 0.645
0.662 0.983 0.355
0.983 0.662 0.855
0.112 0.888 0.250
0.301 0.442 0.525
0.442 0.301 0.025
0.558 0.699 0.975
0.699 0.558 0.475
0.888 0.112 0.750
0.084 0.528 0.384
0.088 0.099 0.303
0.099 0.088 0.803
0.192 0.394 0.985
0.210 0.750 0.066
0.248 0.501 0.734
0.250 0.790 0.434
0.394 0.192 0.485
0.472 0.916 0.116
0.499 0.752 0.766
0.501 0.248 0.234
0.528 0.084 0.884
0.606 0.808 0.515
0.750 0.210 0.566
0.752 0.499 0.266
0.790 0.250 0.934
0.808 0.606 0.015
0.901 0.912 0.197
0.912 0.901 0.697
0.916 0.472 0.616
```

Top 8 peaks for 2θ from 10° to 90°, low angle first:
d [Å]  Rel. int.
7.484  33
4.720  31
4.293  39
3.390  100
3.344  48
3.266  51
3.093  39
2.498  36

(2)
Theoretical X-ray diffraction stick pattern of Y3Th2Sc3 for Cu Kα, 1.54184 Å, from the PBE geometry in Alexandria.
No peak broadening, texture or thermal motion is included.

Structural model:
```
Y3Th2Sc3
1.0
4.861 0.000 0.000
0.000 4.915 0.000
0.000 0.000 19.760
Y Th Sc
6 4 6
direct
0.000 0.000 0.000
0.000 0.500 0.124
0.000 0.500 0.876
0.500 0.000 0.376
0.500 0.000 0.624
0.500 0.500 0.500
0.000 0.000 0.249
0.000 0.000 0.751
0.500 0.500 0.251
0.500 0.500 0.749
0.000 0.000 0.500
0.000 0.500 0.374
0.000 0.500 0.626
0.500 0.000 0.126
0.500 0.000 0.874
0.500 0.500 0.000
```

Top 8 peaks for 2θ from 10° to 90°, low angle first:
d [Å]  Rel. int.
3.262  19
2.832  100
2.470  17
2.457  17
2.431  16
1.487  14
1.481  14
1.469  13

(3)
Theoretical X-ray diffraction stick pattern of Be2Si2Mo for Cu Kα, 1.54184 Å, from the PBE geometry in Alexandria.
No peak broadening, texture or thermal motion is included.

Structural model:
```
Be2Si2Mo
1.0
4.570 0.000 0.000
-0.107 4.588 0.000
-2.059 -2.176 5.689
Be Si Mo
4 4 2
direct
0.063 0.044 0.355
0.253 0.115 0.018
0.747 0.885 0.982
0.937 0.956 0.645
0.072 0.536 0.825
0.368 0.701 0.606
0.632 0.299 0.394
0.928 0.464 0.175
0.476 0.736 0.246
0.524 0.264 0.754
```

Top 8 peaks for 2θ from 10° to 90°, low angle first:
d [Å]  Rel. int.
4.284  100
4.224  70
2.846  69
2.165  40
2.097  46
2.038  45
2.022  46
1.988  38

(4)
Theoretical X-ray diffraction stick pattern of CeYCd3 for Cu Kα, 1.54184 Å, from the PBE geometry in Alexandria.
No peak broadening, texture or thermal motion is included.

Structural model:
```
CeYCd3
1.0
1.721 -14.936 0.000
1.721 14.936 0.000
0.000 0.000 5.033
Ce Y Cd
2 2 6
direct
0.075 0.925 0.750
0.925 0.075 0.250
0.215 0.785 0.250
0.785 0.215 0.750
0.323 0.677 0.250
0.377 0.623 0.750
0.476 0.524 0.750
0.524 0.476 0.250
0.623 0.377 0.250
0.677 0.323 0.750
```

Top 8 peaks for 2θ from 10° to 90°, low angle first:
d [Å]  Rel. int.
2.732  92
2.679  43
2.568  100
2.516  45
1.834  28
1.494  18
1.430  27
1.421  19

(5)
Theoretical X-ray diffraction stick pattern of K3MnSe4 for Cu Kα, 1.54184 Å, from the PBE geometry in Alexandria.
No peak broadening, texture or thermal motion is included.

Structural model:
```
K3MnSe4
1.0
9.535 0.000 0.000
0.000 10.889 0.000
0.000 0.000 9.710
K Mn Se
12 4 16
direct
0.053 0.046 0.199
0.053 0.454 0.199
0.140 0.750 0.416
0.360 0.250 0.916
0.447 0.546 0.699
0.447 0.954 0.699
0.553 0.046 0.301
0.553 0.454 0.301
0.640 0.750 0.084
0.860 0.250 0.584
0.947 0.546 0.801
0.947 0.954 0.801
0.223 0.750 0.982
0.277 0.250 0.482
0.723 0.750 0.518
0.777 0.250 0.018
0.008 0.750 0.083
0.160 0.078 0.541
0.160 0.422 0.541
0.196 0.750 0.751
0.304 0.250 0.251
0.340 0.578 0.041
0.340 0.922 0.041
0.492 0.250 0.583
0.508 0.750 0.417
0.660 0.078 0.959
0.660 0.422 0.959
0.696 0.750 0.749
0.804 0.250 0.249
0.840 0.578 0.459
0.840 0.922 0.459
0.992 0.250 0.917
```

Top 8 peaks for 2θ from 10° to 90°, low angle first:
d [Å]  Rel. int.
5.770  76
4.251  30
3.983  24
3.102  62
3.021  54
2.887  100
2.768  42
2.403  29

(6)
Theoretical X-ray diffraction stick pattern of Na3Ga4Ag4 for Cu Kα, 1.54184 Å, from the PBE geometry in Alexandria.
No peak broadening, texture or thermal motion is included.

Structural model:
```
Na3Ga4Ag4
1.0
-2.227 3.722 7.049
2.227 -3.722 7.049
2.227 3.722 -7.049
Na Ga Ag
3 4 4
direct
0.000 0.000 0.000
0.379 0.879 0.500
0.621 0.121 0.500
0.014 0.323 0.691
0.369 0.677 0.691
0.631 0.323 0.309
0.986 0.677 0.309
0.219 0.219 0.000
0.304 0.500 0.804
0.696 0.500 0.196
0.781 0.781 0.000
```

Top 8 peaks for 2θ from 10° to 90°, low angle first:
d [Å]  Rel. int.
7.049  30
4.247  65
3.974  53
2.799  100
2.591  65
2.227  61
2.072  85
2.007  69

(7)
Theoretical X-ray diffraction stick pattern of Sc5As2 for Cu Kα, 1.54184 Å, from the PBE geometry in Alexandria.
No peak broadening, texture or thermal motion is included.

Structural model:
```
Sc5As2
1.0
7.260 -2.888 0.000
7.260 2.888 0.000
-0.868 0.000 7.119
Sc As
10 4
direct
0.132 0.868 0.750
0.149 0.308 0.323
0.292 0.527 0.076
0.308 0.149 0.823
0.473 0.708 0.424
0.527 0.292 0.576
0.692 0.851 0.177
0.708 0.473 0.924
0.851 0.692 0.677
0.868 0.132 0.250
0.071 0.718 0.416
0.282 0.929 0.084
0.718 0.071 0.916
0.929 0.282 0.584
```

Top 8 peaks for 2θ from 10° to 90°, low angle first:
d [Å]  Rel. int.
4.193  90
2.691  57
2.547  63
2.472  86
2.452  70
2.345  54
2.207  100
2.197  73

(8)
Theoretical X-ray diffraction stick pattern of Ba2FeAs2 for Cu Kα, 1.54184 Å, from the PBE geometry in Alexandria.
No peak broadening, texture or thermal motion is included.

Structural model:
```
Ba2FeAs2
1.0
6.663 0.000 0.000
0.000 6.663 0.000
0.000 0.000 5.458
Ba Fe As
4 2 4
direct
0.177 0.323 0.000
0.323 0.823 0.000
0.677 0.177 0.000
0.823 0.677 0.000
0.000 0.000 0.500
0.500 0.500 0.500
0.145 0.645 0.500
0.355 0.145 0.500
0.645 0.855 0.500
0.855 0.355 0.500
```

Top 8 peaks for 2θ from 10° to 90°, low angle first:
d [Å]  Rel. int.
3.332  10
2.844  22
2.729  34
2.616  100
2.108  25
1.668  19
1.553  20
1.550  18

(9)
Theoretical X-ray diffraction stick pattern of K3Dy3TiTe8 for Cu Kα, 1.54184 Å, from the PBE geometry in Alexandria.
No peak broadening, texture or thermal motion is included.

Structural model:
```
K3Dy3TiTe8
1.0
4.353 2.513 8.466
-4.353 2.513 8.466
0.000 -5.027 8.466
K Dy Ti Te
3 3 1 8
direct
0.000 0.500 0.500
0.500 0.000 0.500
0.500 0.500 0.000
0.000 0.000 0.500
0.000 0.500 0.000
0.500 0.000 0.000
0.500 0.500 0.500
0.237 0.237 0.237
0.255 0.720 0.720
0.280 0.280 0.745
0.280 0.745 0.280
0.720 0.255 0.720
0.720 0.720 0.255
0.745 0.280 0.280
0.763 0.763 0.763
```

Top 8 peaks for 2θ from 10° to 90°, low angle first:
d [Å]  Rel. int.
8.466  65
3.242  100
2.614  26
2.428  32
2.177  35
1.969  17
1.807  17
1.390  14

(10)
Theoretical X-ray diffraction stick pattern of SrNb2GeO8 for Cu Kα, 1.54184 Å, from the PBE geometry in Alexandria.
No peak broadening, texture or thermal motion is included.

Structural model:
```
SrNb2GeO8
1.0
4.473 -2.934 0.000
4.473 2.934 0.000
-0.016 0.000 7.228
Sr Nb Ge O
1 2 1 8
direct
0.000 0.000 0.000
0.361 0.361 0.706
0.639 0.639 0.294
0.000 0.000 0.500
0.209 0.209 0.530
0.210 0.753 0.691
0.247 0.790 0.309
0.283 0.283 0.936
0.717 0.717 0.064
0.753 0.210 0.691
0.790 0.247 0.309
0.791 0.791 0.470
```

Top 8 peaks for 2θ from 10° to 90°, low angle first:
d [Å]  Rel. int.
4.059  86
3.803  54
2.934  44
2.911  100
2.658  59
2.324  22
1.690  23
1.596  32

(11)
Theoretical X-ray diffraction stick pattern of ScMn2Ni for Cu Kα, 1.54184 Å, from the PBE geometry in Alexandria.
No peak broadening, texture or thermal motion is included.

Structural model:
```
ScMn2Ni
1.0
3.003 0.000 0.000
0.000 3.015 0.000
0.000 0.000 6.235
Sc Mn Ni
1 2 1
direct
0.000 0.000 0.000
0.000 0.000 0.503
0.500 0.500 0.294
0.500 0.500 0.726
```

Top 8 peaks for 2θ from 10° to 90°, low angle first:
d [Å]  Rel. int.
6.235  12
2.165  100
2.128  52
1.507  8
1.502  8
1.257  11
1.237  14
1.234  14

(12)
Theoretical X-ray diffraction stick pattern of Rb4CaSe4O14 for Cu Kα, 1.54184 Å, from the PBE geometry in Alexandria.
No peak broadening, texture or thermal motion is included.

Structural model:
```
Rb4CaSe4O14
1.0
7.968 -4.037 0.000
7.968 4.037 0.000
-2.592 0.000 7.900
Rb Ca Se O
4 1 4 14
direct
0.133 0.133 0.393
0.515 0.166 0.171
0.834 0.485 0.829
0.867 0.867 0.607
0.404 0.596 0.000
0.191 0.006 0.906
0.445 0.389 0.628
0.611 0.555 0.372
0.994 0.809 0.094
0.085 0.064 0.712
0.094 0.906 0.000
0.172 0.193 0.042
0.180 0.582 0.091
0.240 0.549 0.707
0.418 0.820 0.909
0.451 0.760 0.293
0.455 0.195 0.517
0.516 0.484 0.500
0.606 0.336 0.807
0.664 0.394 0.193
0.805 0.545 0.483
0.807 0.828 0.958
0.936 0.915 0.288
```

Top 8 peaks for 2θ from 10° to 90°, low angle first:
d [Å]  Rel. int.
5.725  52
4.276  40
4.059  100
4.037  75
3.785  61
3.125  67
2.957  54
2.472  36